1.
Simulated powder X-ray diffraction pattern
Compound: Rb2CoO3
Radiation: CuKα
Structure: the PBE+U geometry in the Materials Project

Crystal structure
```
data_Rb2CoO3
_cell_length_a 13.0996
_cell_length_b 10.3774
_cell_length_c 7.3965
_cell_angle_alpha 90.00
_cell_angle_beta 124.27
_cell_angle_gamma 90.00
_space_group_name_H-M_alt 'C 1 m 1'
_space_group_IT_number 8
loop_
_space_group_symop_operation_xyz
'x,y,z'
'x,-y,z'
'x+1/2,y+1/2,z'
'x+1/2,-y+1/2,z'
loop_
_atom_site_label
_atom_site_type_symbol
_atom_site_fract_x
_atom_site_fract_y
_atom_site_fract_z
Rb1 Rb 0.0000 0.1597 0.0000
Rb2 Rb 0.2493 0.1608 0.9374
Rb3 Rb 0.2509 0.3384 0.4403
Rb4 Rb 0.4992 0.1613 0.5024
Co1 Co 0.0031 0.0000 0.4207
Co2 Co 0.0050 0.5000 0.9309
Co3 Co 0.2529 0.0000 0.5234
Co4 Co 0.2536 0.5000 0.0238
O1 O 0.0062 0.0000 0.6673
O2 O 0.0076 0.5000 0.1735
O3 O 0.1264 0.1169 0.4678
O4 O 0.1289 0.3806 0.9685
O5 O 0.2552 0.0000 0.2820
O6 O 0.2567 0.5000 0.7847
O7 O 0.3748 0.1192 0.7196
O8 O 0.3771 0.3826 0.2245
```

Top 8 peaks for 2θ = 10–80°, sorted by position:
2θ 28.49, rel. 24, hkl 1 3 -1; 2θ 29.25, rel. 58, hkl 0 0 2; 2θ 33.05, rel. 100, hkl 4 0 0; 2θ 37.49, rel. 14, hkl 3 1 -3; 2θ 44.22, rel. 25, hkl 3 3 1; 2θ 45.16, rel. 12, hkl 3 3 -3; 2θ 59.08, rel. 13, hkl 7 3 -1; 2θ 61.63, rel. 13, hkl 0 6 2

***

2.
Simulated powder X-ray diffraction pattern
Compound: UMo5O16
Radiation: CuKα
Structure: the PBE+U geometry in the Materials Project

Crystal structure
```
data_UMo5O16
_cell_length_a 14.7719
_cell_length_b 19.9398
_cell_length_c 4.1533
_cell_angle_alpha 90.00
_cell_angle_beta 90.00
_cell_angle_gamma 90.00
_space_group_name_H-M_alt 'C 2 2 2'
_space_group_IT_number 21
loop_
_space_group_symop_operation_xyz
'x,y,z'
'-x,-y,z'
'x,-y,-z'
'-x,y,-z'
'x+1/2,y+1/2,z'
'-x+1/2,-y+1/2,z'
'x+1/2,-y+1/2,-z'
'-x+1/2,y+1/2,-z'
loop_
_atom_site_label
_atom_site_type_symbol
_atom_site_fract_x
_atom_site_fract_y
_atom_site_fract_z
U1 U 0.0000 0.2483 0.0000
Mo1 Mo 0.1240 0.0918 0.9078
Mo2 Mo 0.1253 0.4094 0.0884
Mo3 Mo 0.2500 0.2500 0.0936
O1 O 0.0000 0.1288 0.0000
O2 O 0.0000 0.2493 0.5000
O3 O 0.0000 0.3741 0.0000
O4 O 0.0898 0.0000 0.0000
O5 O 0.0895 0.5000 0.0000
O6 O 0.1228 0.4094 0.5067
O7 O 0.1268 0.0921 0.4893
O8 O 0.1439 0.1904 0.0010
O9 O 0.1439 0.3126 0.0098
O10 O 0.2454 0.4255 0.0092
O11 O 0.2500 0.2500 0.5136
```

Top 8 peaks for 2θ = 10–80°, sorted by position:
2θ 21.39, rel. 100, hkl 0 0 1; 2θ 25.73, rel. 65, hkl 4 2 0; 2θ 26.83, rel. 64, hkl 0 6 0; 2θ 30.12, rel. 60, hkl 4 4 0; 2θ 33.70, rel. 29, hkl 4 2 1; 2θ 37.24, rel. 28, hkl 4 4 1; 2θ 49.32, rel. 27, hkl 8 0 0; 2θ 57.02, rel. 38, hkl 8 6 0

***

3.
Simulated powder X-ray diffraction pattern
Compound: MoO2
Radiation: CuKα
Structure: the PBE+U geometry in the Materials Project

Crystal structure
```
data_MoO2
_cell_length_a 2.8585
_cell_length_b 2.8585
_cell_length_c 10.4603
_cell_angle_alpha 90.00
_cell_angle_beta 90.00
_cell_angle_gamma 120.00
_space_group_name_H-M_alt 'P 63/m m c'
_space_group_IT_number 194
_space_group_name_Hall '-P 6c 2c'
loop_
_atom_site_label
_atom_site_type_symbol
_atom_site_fract_x
_atom_site_fract_y
_atom_site_fract_z
Mo1 Mo 0.3333 0.6667 0.2500
O1 O 0.3333 0.6667 0.6317
```

Top 8 peaks for 2θ = 10–80°, sorted by position:
2θ 16.95, rel. 100, hkl 0 0 2; 2θ 36.29, rel. 18, hkl 1 0 0; 2θ 37.33, rel. 32, hkl 1 0 1; 2θ 40.31, rel. 16, hkl 1 0 2; 2θ 44.91, rel. 47, hkl 1 0 3; 2θ 57.69, rel. 23, hkl 1 0 5; 2θ 65.28, rel. 11, hkl 1 1 0; 2θ 68.00, rel. 13, hkl 1 1 2

***

4.
Simulated powder X-ray diffraction pattern
Compound: CoTeO3
Radiation: CuKα
Structure: the PBE+U geometry in the Materials Project

Crystal structure
```
data_CoTeO3
_cell_length_a 6.0670
_cell_length_b 7.5678
_cell_length_c 5.3972
_cell_angle_alpha 90.00
_cell_angle_beta 90.00
_cell_angle_gamma 90.00
_space_group_name_H-M_alt 'P n m a'
_space_group_IT_number 62
loop_
_space_group_symop_operation_xyz
'x,y,z'
'-x,-y,-z'
'-x+1/2,-y,z+1/2'
'x+1/2,y,-z+1/2'
'x+1/2,-y+1/2,-z+1/2'
'-x+1/2,y+1/2,z+1/2'
'-x,y+1/2,-z'
'x,-y+1/2,z'
loop_
_atom_site_label
_atom_site_type_symbol
_atom_site_fract_x
_atom_site_fract_y
_atom_site_fract_z
Co1 Co 0.0000 0.0000 0.0000
Te1 Te 0.0138 0.2500 0.4877
O1 O 0.0525 0.7500 0.1607
O2 O 0.1824 0.5643 0.6362
```

Top 8 peaks for 2θ = 10–80°, sorted by position:
2θ 22.04, rel. 17, hkl 1 0 1; 2θ 29.44, rel. 34, hkl 2 0 0; 2θ 32.45, rel. 100, hkl 1 2 1; 2θ 33.20, rel. 24, hkl 0 0 2; 2θ 44.96, rel. 22, hkl 2 0 2; 2θ 54.16, rel. 28, hkl 3 2 1; 2θ 57.40, rel. 12, hkl 2 4 0; 2θ 58.84, rel. 24, hkl 1 2 3

***

5.
Simulated powder X-ray diffraction pattern
Compound: LiNiC2O6
Radiation: CuKα
Structure: the PBE+U geometry in the Materials Project

Crystal structure
```
data_LiNiC2O6
_cell_length_a 7.2816
_cell_length_b 9.2400
_cell_length_c 8.9557
_cell_angle_alpha 90.00
_cell_angle_beta 120.94
_cell_angle_gamma 90.00
_space_group_name_H-M_alt 'P 1 21/c 1'
_space_group_IT_number 14
loop_
_space_group_symop_operation_xyz
'x,y,z'
'-x,-y,-z'
'-x,y+1/2,-z+1/2'
'x,-y+1/2,z+1/2'
loop_
_atom_site_label
_atom_site_type_symbol
_atom_site_fract_x
_atom_site_fract_y
_atom_site_fract_z
Li1 Li 0.1556 0.1155 0.1546
Ni1 Ni 0.0032 0.6123 0.0529
C1 C 0.0265 0.1122 0.7666
C2 C 0.4015 0.9996 0.6454
O1 O 0.0258 0.1675 0.8964
O2 O 0.0266 0.1941 0.6494
O3 O 0.0273 0.5280 0.2546
O4 O 0.2958 0.1141 0.5561
O5 O 0.3011 0.6144 0.1551
O6 O 0.3989 0.0000 0.2778
```

Top 8 peaks for 2θ = 10–80°, sorted by position:
2θ 14.18, rel. 100, hkl 1 0 0; 2θ 15.00, rel. 91, hkl 0 1 1; 2θ 16.07, rel. 24, hkl 1 1 -1; 2θ 19.97, rel. 22, hkl 1 0 -2; 2θ 28.59, rel. 20, hkl 2 0 0; 2θ 31.71, rel. 14, hkl 1 1 -3; 2θ 41.72, rel. 12, hkl 1 4 0; 2θ 43.47, rel. 12, hkl 3 0 0